Starting from a cell relaxed with PBE, the X-ray powder pattern of MgGeBi was computed for Cu Kα (λ = 1.5418 Å).

Principal peaks in the range 15° ≤ 2θ ≤ 90°, low angle first:
| 2θ (°) | I_rel |
| --- | --- |
| 20.42 | 58 |
| 22.52 | 21 |
| 25.01 | 100 |
| 27.57 | 32 |
| 36.97 | 57 |
| 39.81 | 26 |
| 41.86 | 19 |
| 47.32 | 21 |

Atomic structure:
```
MgGeBi
1.0
9.210 0.000 0.000
0.000 3.990 0.000
-3.382 0.000 9.706
Mg Ge Bi
4 4 4
direct
0.000 0.000 0.000
0.216 0.000 0.787
0.500 0.500 0.000
0.716 0.500 0.787
0.267 0.500 0.390
0.453 0.000 0.397
0.767 0.000 0.390
0.953 0.500 0.397
0.330 0.000 0.103
0.385 0.500 0.685
0.830 0.500 0.103
0.885 0.000 0.685
```